Entry 1:
Simulated powder diffraction line list of MnHgAs2 for λ = 1.5418 Å (Cu Kα), from DFT lattice parameters and positions (PBE).
Kinematic intensities with the Lorentz-polarization factor, no thermal factor.

Atomic structure:
```
MnHgAs2
1.0
2.9374 0.0000 0.0000
0.0000 2.9374 0.0000
0.0000 0.0000 8.9733
Mn Hg As
1 1 2
Direct
0.0000 0.0000 0.0000 Mn
0.0000 0.0000 0.5000 Hg
0.5000 0.5000 0.1609 As
0.5000 0.5000 0.8391 As
```

Peak list (10 most intense, 15 to 90 degrees two-theta, in order of falling intensity)
36.56°, rel. 100
32.06°, rel. 69
43.57°, rel. 49
51.24°, rel. 45
19.79°, rel. 39
29.87°, rel. 36
53.73°, rel. 29
75.40°, rel. 24
85.70°, rel. 21
78.87°, rel. 17

***

Entry 2:
Simulated powder diffraction line list of NaHgAsP2 for λ = 1.5418 Å (Cu Kα), from DFT lattice parameters and positions (PBE).
Kinematic intensities with the Lorentz-polarization factor, no thermal factor.

Atomic structure:
```
NaHgAsP2
1.0
4.8714 0.0000 0.0000
0.0000 4.8714 0.0000
0.0000 0.0000 5.3912
Na Hg As P
1 1 1 2
Direct
0.0000 0.0000 0.0000 Na
0.5000 0.5000 0.0000 Hg
0.5000 0.5000 0.5000 As
0.0000 0.5000 0.5000 P
0.5000 0.0000 0.5000 P
```

Peak list (10 most intense, 15 to 90 degrees two-theta, in order of falling intensity)
18.21°, rel. 100
25.87°, rel. 39
30.80°, rel. 39
36.90°, rel. 36
38.16°, rel. 32
50.50°, rel. 29
41.45°, rel. 26
33.24°, rel. 24
54.13°, rel. 24
42.59°, rel. 22

***

Entry 3:
Simulated powder diffraction line list of Na2HgAsS4 for λ = 1.5418 Å (Cu Kα), from DFT lattice parameters and positions (PBE).
Kinematic intensities with the Lorentz-polarization factor, no thermal factor.

Atomic structure:
```
Na2HgAsS4
1.0
-3.1702 3.1702 5.4422
3.1702 -3.1702 5.4422
3.1702 3.1702 -5.4422
Na Hg As S
2 1 1 4
Direct
0.0000 0.0000 0.0000 Na
0.7500 0.2500 0.5000 Na
0.2500 0.7500 0.5000 Hg
0.5000 0.5000 0.0000 As
0.1761 0.1530 0.5643 S
0.3882 0.8239 0.9769 S
0.5887 0.6118 0.4357 S
0.8470 0.4113 0.0231 S
```

Peak list (10 most intense, 15 to 90 degrees two-theta, in order of falling intensity)
25.75°, rel. 100
16.18°, rel. 90
43.85°, rel. 37
32.65°, rel. 35
48.38°, rel. 34
40.23°, rel. 23
40.37°, rel. 20
28.34°, rel. 18
75.65°, rel. 15
28.15°, rel. 13